No. 1
# La2HgHPd6
Simulated powder diffractogram, Cu Kα X-rays. Input: the GGA-PBE geometry in Alexandria.
Intensities are scaled so that the largest is 100.

Crystal structure
a b c (Å): 5.787 5.787 7.359
angles (deg): 113.03 113.03 60.05
Positions (direct):
La1 0.238 0.238 0.212
La2 0.762 0.762 0.788
Hg1 0.500 0.500 0.000
H1 0.000 0.000 0.500
Pd1 0.222 0.724 0.671
Pd2 0.223 0.223 0.674
Pd3 0.276 0.778 0.329
Pd4 0.724 0.222 0.671
Pd5 0.777 0.777 0.326
Pd6 0.778 0.276 0.329

Top 8 peaks for 10 to 90 degrees two-theta, sorted by position:
2θ = 25.36°, d 3.513, I 30
2θ = 33.85°, d 2.648, I 45
2θ = 36.63°, d 2.454, I 40
2θ = 37.01°, d 2.429, I 62
2θ = 40.38°, d 2.234, I 100
2θ = 42.76°, d 2.115, I 28
2θ = 54.41°, d 1.686, I 17
2θ = 64.38°, d 1.447, I 33

No. 2
# NdFe2Ge2C
Simulated powder diffractogram, Cu Kα X-rays. Input: the GGA-PBE geometry in Alexandria.
Intensities are scaled so that the largest is 100.

Crystal structure
a b c (Å): 3.980 3.980 5.489
angles (deg): 90.00 90.00 90.00
Positions (direct):
Nd1 0.000 0.000 0.000
Fe1 0.000 0.500 0.500
Fe2 0.500 0.000 0.500
Ge1 0.500 0.500 0.233
Ge2 0.500 0.500 0.767
C1 0.000 0.000 0.500

Top 8 peaks for 10 to 90 degrees two-theta, sorted by position:
2θ = 27.69°, d 3.222, I 38
2θ = 31.80°, d 2.814, I 34
2θ = 35.86°, d 2.504, I 100
2θ = 39.90°, d 2.259, I 94
2θ = 45.59°, d 1.990, I 62
2θ = 62.16°, d 1.493, I 50
2θ = 66.45°, d 1.407, I 19
2θ = 77.87°, d 1.227, I 20

No. 3
# Pm6Sm3Y
Simulated powder diffractogram, Cu Kα X-rays. Input: the GGA-PBE geometry in Alexandria.
Intensities are scaled so that the largest is 100.

Crystal structure
a b c (Å): 11.084 11.084 6.503
angles (deg): 90.00 90.00 120.87
Positions (direct):
Pm1 0.032 0.968 0.500
Pm2 0.059 0.479 0.005
Pm3 0.278 0.722 0.295
Pm4 0.286 0.372 0.197
Pm5 0.372 0.286 0.697
Pm6 0.479 0.059 0.505
Pm7 0.521 0.941 0.005
Pm8 0.628 0.714 0.197
Pm9 0.714 0.628 0.697
Pm10 0.722 0.278 0.795
Pm11 0.941 0.521 0.505
Pm12 0.968 0.032 0.000
Sm1 0.058 0.290 0.609
Sm2 0.290 0.058 0.109
Sm3 0.385 0.615 0.725
Sm4 0.615 0.385 0.225
Sm5 0.710 0.942 0.609
Sm6 0.942 0.710 0.109
Y1 0.189 0.811 0.751
Y2 0.811 0.189 0.251

Top 8 peaks for 10 to 90 degrees two-theta, sorted by position:
2θ = 28.13°, d 3.173, I 48
2θ = 28.24°, d 3.160, I 50
2θ = 28.44°, d 3.138, I 41
2θ = 29.01°, d 3.078, I 35
2θ = 31.04°, d 2.881, I 100
2θ = 31.38°, d 2.850, I 62
2θ = 33.38°, d 2.684, I 60
2θ = 33.83°, d 2.649, I 25

No. 4
# Cs3Ac2HoTe6
Simulated powder diffractogram, Cu Kα X-rays. Input: the GGA-PBE geometry in Alexandria.
Intensities are scaled so that the largest is 100.

Crystal structure
a b c (Å): 8.292 8.292 9.387
angles (deg): 98.49 98.49 120.00
Positions (direct):
Cs1 0.000 0.000 0.000
Cs2 0.330 0.670 0.000
Cs3 0.670 0.330 0.000
Ac1 0.166 0.834 0.500
Ac2 0.834 0.166 0.500
Ho1 0.500 0.500 0.500
Te1 0.120 0.435 0.303
Te2 0.252 0.252 0.698
Te3 0.435 0.120 0.303
Te4 0.565 0.880 0.697
Te5 0.748 0.748 0.302
Te6 0.880 0.565 0.697

Top 8 peaks for 10 to 90 degrees two-theta, sorted by position:
2θ = 25.23°, d 3.529, I 100
2θ = 31.75°, d 2.819, I 11
2θ = 34.33°, d 2.612, I 35
2θ = 37.58°, d 2.394, I 37
2θ = 45.80°, d 1.981, I 19
2θ = 56.21°, d 1.636, I 11
2θ = 60.68°, d 1.526, I 16
2θ = 65.74°, d 1.420, I 10